Starting from a cell relaxed with GGA-PBE, the powder X-ray diffraction pattern of Ac2PrRh2 was simulated for a wavelength of 1.5418 Å.
Neutral-atom scattering factors, no anomalous dispersion.

Peak list (8 most intense, 10° ≤ 2θ ≤ 90°, sorted by position)
two_theta, d [Å], I/Imax
27.13, 3.287, 100
27.86, 3.202, 42
36.22, 2.480, 41
36.79, 2.443, 23
40.61, 2.222, 21
42.15, 2.144, 38
48.09, 1.892, 19
49.96, 1.825, 18

Structure:
abc: 11.2377 11.2377 6.5446
angles: 90.00 90.00 157.20
Fractional coordinates of all 10 atoms:
Ac 0.0569 0.9431 0.5000
Ac 0.2760 0.7240 0.0329
Ac 0.7240 0.2760 0.5329
Ac 0.9431 0.0569 0.0000
Pr 0.3904 0.6096 0.4843
Pr 0.6096 0.3904 0.9843
Rh 0.1712 0.8288 0.7672
Rh 0.4982 0.5018 0.7455
Rh 0.5018 0.4982 0.2455
Rh 0.8288 0.1712 0.2672